Starting from a structure optimized by DFT (GGA-PBE), the powder diffractogram of Mo2W was computed for Cu Ka.
No peak broadening, texture or thermal motion is included.

Structural model:
Cell lengths 5.2589, 5.2589, 6.3527 Å; angles 107.69, 107.69, 35.14 degrees
Sites, in units of the cell vectors:
Mo: 0.0004 0.0004 0.2498
Mo: 0.9996 0.9996 0.7502
Mo: 0.3331 0.3331 0.9168
Mo: 0.6669 0.6669 0.0832
W: 0.3337 0.3337 0.4164
W: 0.6663 0.6663 0.5836

Main lines, by angle (2θ = 5–70°):
2θ (°), intensity
14.71, 7
18.67, 1
27.36, 2
29.66, 2
31.85, 2
40.19, 100
58.09, 11
58.24, 6

=====

Starting from a structure optimized by DFT (GGA-PBE), the powder diffractogram of Mo3W was computed for Cu Ka.
No peak broadening, texture or thermal motion is included.

Structural model:
Cell lengths 5.2560, 5.2560, 5.2560 Å; angles 144.93, 129.47, 62.99 degrees
Sites, in units of the cell vectors:
Mo: 0.0000 0.0000 0.0000
Mo: 0.2503 0.7503 0.5000
Mo: 0.7497 0.2497 0.5000
W: 0.5000 0.5000 0.0000

Main lines, by angle (2θ = 5–70°):
2θ (°), intensity
19.81, 3
22.16, 5
29.92, 2
34.67, 2
36.12, 1
40.24, 100
50.91, 1
58.22, 17

=====

Starting from a structure optimized by DFT (GGA-PBE), the powder diffractogram of Mo2W3 was computed for Cu Ka.
No peak broadening, texture or thermal motion is included.

Structural model:
Cell lengths 8.0795, 7.2338, 5.2562 Å; angles 78.87, 61.46, 39.67 degrees
Sites, in units of the cell vectors:
Mo: 0.0255 0.0255 0.2245
Mo: 0.2245 0.2245 0.0255
Mo: 0.7755 0.7755 0.9745
Mo: 0.9745 0.9745 0.7755
W: 0.1744 0.1744 0.5756
W: 0.3750 0.3750 0.3750
W: 0.4244 0.4244 0.8256
W: 0.5756 0.5756 0.1744
W: 0.6250 0.6250 0.6250
W: 0.8256 0.8256 0.4244

Main lines, by angle (2θ = 5–70°):
2θ (°), intensity
20.24, 8
26.58, 2
38.78, 100
40.03, 23
48.50, 26
62.88, 12
64.65, 11
69.38, 5

=====

Starting from a structure optimized by DFT (GGA-PBE), the powder diffractogram of MoW was computed for Cu Ka.
No peak broadening, texture or thermal motion is included.

Structural model:
Cell lengths 5.2696, 5.2696, 5.2696 Å; angles 144.98, 129.62, 62.83 degrees
Sites, in units of the cell vectors:
Mo: 0.3748 0.1248 0.2500
Mo: 0.6252 0.8752 0.7500
W: 0.1249 0.3749 0.7500
W: 0.8751 0.6251 0.2500

Main lines, by angle (2θ = 5–70°):
2θ (°), intensity
22.14, 8
29.88, 4
36.03, 2
40.17, 100
40.20, 20
50.89, 2
58.12, 20
59.09, 2

=====

Starting from a structure optimized by DFT (GGA-PBE), the powder diffractogram of MoW was computed for Cu Ka.
No peak broadening, texture or thermal motion is included.

Structural model:
Cell lengths 2.7482, 2.7482, 8.9820 Å; angles 90.00, 90.00, 109.32 degrees
Sites, in units of the cell vectors:
Mo: 0.2500 0.7500 0.8756
Mo: 0.7500 0.2500 0.1244
W: 0.2500 0.7500 0.3743
W: 0.7500 0.2500 0.6257

Main lines, by angle (2θ = 5–70°):
2θ (°), intensity
9.85, 18
29.84, 2
36.05, 4
40.17, 100
41.52, 1
46.32, 2
58.02, 6
58.15, 11

=====

Starting from a structure optimized by DFT (GGA-PBE), the powder diffractogram of Mo7W6 was computed for Cu Ka.
No peak broadening, texture or thermal motion is included.

Structural model:
Cell lengths 9.7249, 9.7249, 9.7249 Å; angles 30.78, 30.78, 30.78 degrees
Sites, in units of the cell vectors:
Mo: 0.0000 0.0000 0.0000
Mo: 0.0907 0.0907 0.5863
Mo: 0.0907 0.5863 0.0907
Mo: 0.4137 0.9093 0.9093
Mo: 0.5863 0.0907 0.0907
Mo: 0.9093 0.4137 0.9093
Mo: 0.9093 0.9093 0.4137
W: 0.1680 0.1680 0.1680
W: 0.3510 0.3510 0.3510
W: 0.4541 0.4541 0.4541
W: 0.5459 0.5459 0.5459
W: 0.6490 0.6490 0.6490
W: 0.8320 0.8320 0.8320

Main lines, by angle (2θ = 5–70°):
2θ (°), intensity
34.76, 93
38.15, 63
40.00, 100
40.49, 38
41.06, 73
43.66, 33
64.57, 27
66.61, 35